For RbB2Te, a cell relaxed with GGA-PBE gives the theoretical powder X-ray diffraction pattern in this record (Cu Kα X-rays).
Peak positions follow from Bragg's law for the DFT cell and can differ from measured ones.

Cell and atoms:
Lattice parameters (Å, degrees): 7.370 7.370 7.426 90.00 90.00 90.00
Space group I-42d (No. 122)
Inequivalent atoms, fractional coordinates:
Rb1 0.000 0.000 0.000 (multiplicity 4)
B1 0.166 0.750 0.625 (multiplicity 8)
Te1 0.000 0.000 0.500 (multiplicity 4)

Peak list (12 most intense, 2θ = 10–90°, by intensity)
29.54 deg, I = 100, (1 1 2); 24.15 deg, I = 72, (2 0 0); 45.98 deg, I = 59, (3 1 2); 34.42 deg, I = 36, (2 2 0); 55.42 deg, I = 18, (2 0 4); 69.83 deg, I = 17, (5 1 2); 55.78 deg, I = 16, (4 2 0); 58.68 deg, I = 14, (3 3 2); 77.44 deg, I = 12, (4 2 4); 49.47 deg, I = 12, (4 0 0); 80.22 deg, I = 11, (5 3 2); 61.31 deg, I = 11, (2 2 4)

***

For RbThB12, a cell relaxed with GGA-PBE gives the theoretical powder X-ray diffraction pattern in this record (Cu Kα X-rays).
Peak positions follow from Bragg's law for the DFT cell and can differ from measured ones.

Cell and atoms:
Lattice parameters (Å, degrees): 8.357 8.357 8.357 90.00 90.00 90.00
Space group Fm-3m (No. 225)
Inequivalent atoms, fractional coordinates:
Rb1 0.000 0.000 0.000 (multiplicity 4)
Th1 0.000 0.000 0.500 (multiplicity 4)
B1 0.101 0.250 0.250 (multiplicity 48)

Peak list (12 most intense, 2θ = 10–90°, by intensity)
30.25 deg, I = 100, (2 2 0); 21.26 deg, I = 66, (2 0 0); 48.73 deg, I = 51, (4 2 0); 37.27 deg, I = 42, (2 2 2); 18.39 deg, I = 38, (1 1 1); 53.74 deg, I = 29, (4 2 2); 67.22 deg, I = 29, (4 4 2); 35.63 deg, I = 23, (3 1 1); 43.31 deg, I = 21, (4 0 0); 71.39 deg, I = 20, (6 2 0); 87.32 deg, I = 19, (6 4 2); 75.46 deg, I = 13, (6 2 2)